Calculated powder X-ray diffraction pattern of LaSmDy3Th for copper Kα, from a DFT-relaxed cell (PBE, Alexandria).
Neutral-atom scattering factors, no anomalous dispersion.

Main lines, sorted by position (10 to 90 degrees two-theta):
| 2θ (°) | d/Å | I/Imax | index |
| --- | --- | --- | --- |
| 30.33 | 2.946 | 100 | 2 1 -2 |
| 30.47 | 2.933 | 99 | 1 1 2 |
| 35.07 | 2.558 | 34 | 1 0 -4 |
| 35.27 | 2.545 | 34 | 0 2 0 |
| 35.41 | 2.535 | 33 | 3 0 0 |
| 50.85 | 1.796 | 36 | 3 2 0 |

Cell and atoms:
```
data_LaSmDy3Th
_space_group_name_H-M_alt 'P 1 21/m 1'
_space_group_IT_number 11
_space_group_name_Hall '-P 2yb'
_cell_length_a 8.0398
_cell_length_b 5.0897
_cell_length_c 10.2342
_cell_angle_alpha 90.00
_cell_angle_beta 108.94
_cell_angle_gamma 90.00
loop_
_atom_site_label
_atom_site_fract_x
_atom_site_fract_y
_atom_site_fract_z
_atom_site_occupancy
La1 0.1688 0.2500 0.2910 1
Sm1 0.4993 0.2500 0.6299 1
Dy1 0.1691 0.7500 0.5459 1
Dy2 0.1761 0.7500 0.0408 1
Dy3 0.1777 0.2500 0.7950 1
Th1 0.4988 0.7500 0.8793 1
```